MgTe4Mo4S4: theoretical X-ray powder pattern (λ = 1.5418 Å (Cu Kα)), based on the GGA-PBE geometry in the Materials Project.
Neutral-atom scattering factors, no anomalous dispersion.

Top 8 peaks for 2θ from 10° to 80°, by angle:
| 2θ/deg | I_rel | h k l |
| --- | --- | --- |
| 11.79 | 37 | 0 0 6 |
| 30.75 | 68 | 2 0 0 |
| 32.33 | 25 | 1 1 -5 |
| 34.70 | 79 | 2 0 8 |
| 36.77 | 23 | 2 0 10 |
| 37.93 | 45 | 1 1 11 |
| 40.48 | 100 | 1 1 13 |
| 54.63 | 37 | 3 1 0 |

Structural model:
```
data_MgTe4Mo4S4
_cell_length_a 5.820
_cell_length_b 3.360
_cell_length_c 45.042
_cell_angle_alpha 90.00
_cell_angle_beta 90.01
_cell_angle_gamma 90.00
_symmetry_space_group_name_H-M 'C 1 m 1'
_symmetry_Int_Tables_number 8
_symmetry_space_group_name_Hall 'C -2y'
loop_
_atom_site_label
_atom_site_fract_x
_atom_site_fract_y
_atom_site_fract_z
_atom_site_occupancy
Mg1 0.000 0.000 0.000 1
Te1 0.166 0.500 0.847 1
Te2 0.166 0.500 0.931 1
Te3 0.333 0.000 0.417 1
Te4 0.333 0.000 0.501 1
Mo1 0.166 0.500 0.091 1
Mo2 0.166 0.500 0.459 1
Mo3 0.333 0.000 0.272 1
Mo4 0.333 0.000 0.889 1
S1 0.166 0.500 0.238 1
S2 0.166 0.500 0.305 1
S3 0.332 0.000 0.056 1
S4 0.333 0.000 0.124 1
```

---

Hf2FeIr: theoretical X-ray powder pattern (λ = 1.5418 Å (Cu Kα)), based on the GGA-PBE geometry in the Materials Project.
Neutral-atom scattering factors, no anomalous dispersion.

Top 8 peaks for 2θ from 10° to 80°, by angle:
| 2θ/deg | I_rel | h k l |
| --- | --- | --- |
| 23.85 | 11 | 1 1 1 |
| 27.61 | 4 | 2 0 0 |
| 39.45 | 100 | 2 2 0 |
| 46.62 | 6 | 3 1 1 |
| 57.01 | 17 | 4 0 0 |
| 62.67 | 3 | 3 3 1 |
| 71.54 | 35 | 4 2 2 |
| 76.63 | 2 | 5 1 1 |

Structural model:
```
data_Hf2FeIr
_cell_length_a 6.461
_cell_length_b 6.461
_cell_length_c 6.461
_cell_angle_alpha 90.00
_cell_angle_beta 90.00
_cell_angle_gamma 90.00
_symmetry_space_group_name_H-M 'F m -3 m'
_symmetry_Int_Tables_number 225
_symmetry_space_group_name_Hall '-F 4 2 3'
loop_
_atom_site_label
_atom_site_fract_x
_atom_site_fract_y
_atom_site_fract_z
_atom_site_occupancy
Hf1 0.250 0.250 0.250 1
Fe1 0.000 0.000 0.000 1
Ir1 0.000 0.000 0.500 1
```

---

BaAg2Ge2: theoretical X-ray powder pattern (λ = 1.5418 Å (Cu Kα)), based on the GGA-PBE geometry in the Materials Project.
Neutral-atom scattering factors, no anomalous dispersion.

Top 8 peaks for 2θ from 10° to 80°, by angle:
| 2θ/deg | I_rel | h k l |
| --- | --- | --- |
| 31.19 | 37 | 1 0 3 |
| 31.69 | 100 | 1 1 2 |
| 38.58 | 54 | 2 0 0 |
| 43.04 | 18 | 1 1 4 |
| 45.93 | 17 | 1 0 5 |
| 50.42 | 19 | 2 1 3 |
| 55.70 | 18 | 2 2 0 |
| 65.52 | 23 | 3 1 2 |

Structural model:
```
data_BaAg2Ge2
_cell_length_a 4.667
_cell_length_b 4.667
_cell_length_c 10.905
_cell_angle_alpha 90.00
_cell_angle_beta 90.00
_cell_angle_gamma 90.00
_symmetry_space_group_name_H-M 'I 4/m m m'
_symmetry_Int_Tables_number 139
_symmetry_space_group_name_Hall '-I 4 2'
loop_
_atom_site_label
_atom_site_fract_x
_atom_site_fract_y
_atom_site_fract_z
_atom_site_occupancy
Ba1 0.000 0.000 0.000 1
Ag1 0.000 0.500 0.250 1
Ge1 0.000 0.000 0.383 1
```

---

Ca2SiCl2O3: theoretical X-ray powder pattern (λ = 1.5418 Å (Cu Kα)), based on the GGA-PBE geometry in the Materials Project.
Neutral-atom scattering factors, no anomalous dispersion.

Top 8 peaks for 2θ from 10° to 80°, by angle:
| 2θ/deg | I_rel | h k l |
| --- | --- | --- |
| 26.49 | 18 | 3 0 1 |
| 32.30 | 100 | 3 1 2 |
| 33.87 | 19 | 2 1 3 |
| 37.24 | 48 | 2 4 0 |
| 37.92 | 24 | 0 0 4 |
| 53.09 | 23 | 5 3 2 |
| 54.19 | 18 | 2 4 4 |
| 64.99 | 18 | 3 1 6 |

Structural model:
```
data_Ca2SiCl2O3
_cell_length_a 10.797
_cell_length_b 10.797
_cell_length_c 9.491
_cell_angle_alpha 90.00
_cell_angle_beta 90.00
_cell_angle_gamma 90.00
_symmetry_space_group_name_H-M 'I 4'
_symmetry_Int_Tables_number 79
_symmetry_space_group_name_Hall 'I 4'
loop_
_atom_site_label
_atom_site_fract_x
_atom_site_fract_y
_atom_site_fract_z
_atom_site_occupancy
Ca1 0.080 0.748 0.000 1
Ca2 0.080 0.748 0.467 1
Si1 0.104 0.188 0.734 1
Cl1 0.000 0.000 0.021 1
Cl2 0.000 0.000 0.445 1
Cl3 0.000 0.500 0.478 1
Cl4 0.076 0.258 0.233 1
O1 0.050 0.827 0.734 1
O2 0.138 0.250 0.584 1
O3 0.139 0.249 0.884 1
```

---

LiPu2TeO2: theoretical X-ray powder pattern (λ = 1.5418 Å (Cu Kα)), based on the GGA-PBE geometry in the Materials Project.
Neutral-atom scattering factors, no anomalous dispersion.

Top 8 peaks for 2θ from 10° to 80°, by angle:
| 2θ/deg | I_rel | h k l |
| --- | --- | --- |
| 23.00 | 14 | 1 1 0 |
| 29.76 | 100 | 1 1 -2 |
| 31.34 | 46 | 0 2 0 |
| 41.46 | 14 | 2 0 1 |
| 44.92 | 21 | 2 2 -1 |
| 51.79 | 17 | 2 0 -4 |
| 52.67 | 11 | 1 1 3 |
| 54.81 | 37 | 3 1 -3 |

Structural model:
```
data_LiPu2TeO2
_cell_length_a 5.712
_cell_length_b 5.704
_cell_length_c 7.316
_cell_angle_alpha 90.00
_cell_angle_beta 112.90
_cell_angle_gamma 90.00
_symmetry_space_group_name_H-M 'C 1 m 1'
_symmetry_Int_Tables_number 8
_symmetry_space_group_name_Hall 'C -2y'
loop_
_atom_site_label
_atom_site_fract_x
_atom_site_fract_y
_atom_site_fract_z
_atom_site_occupancy
Li1 0.000 0.000 0.000 1
Pu1 0.013 0.500 0.029 1
Pu2 0.309 0.500 0.626 1
Te1 0.185 0.000 0.376 1
O1 0.181 0.250 0.866 1
```

---

SrSi2: theoretical X-ray powder pattern (λ = 1.5418 Å (Cu Kα)), based on the GGA-PBE geometry in the Materials Project.
Neutral-atom scattering factors, no anomalous dispersion.

Top 8 peaks for 2θ from 10° to 80°, by angle:
| 2θ/deg | I_rel | h k l |
| --- | --- | --- |
| 19.12 | 10 | 1 1 0 |
| 30.45 | 100 | 2 1 0 |
| 33.44 | 61 | 2 1 1 |
| 45.85 | 19 | 3 1 1 |
| 52.14 | 35 | 3 2 1 |
| 56.04 | 10 | 4 0 0 |
| 65.13 | 19 | 4 2 1 |
| 78.47 | 19 | 5 2 0 |

Structural model:
```
data_SrSi2
_cell_length_a 6.564
_cell_length_b 6.564
_cell_length_c 6.564
_cell_angle_alpha 90.00
_cell_angle_beta 90.00
_cell_angle_gamma 90.00
_symmetry_space_group_name_H-M 'P 43 3 2'
_symmetry_Int_Tables_number 212
_symmetry_space_group_name_Hall 'P 4acd 2ab 3'
loop_
_atom_site_label
_atom_site_fract_x
_atom_site_fract_y
_atom_site_fract_z
_atom_site_occupancy
Sr1 0.125 0.125 0.125 1
Si1 0.078 0.578 0.922 1
```